Diffraction record for Li7CoO3F3. The XRD peak list is calculated, not measured: it uses DFT lattice parameters and positions (GGA+U) and Cu Kα (weighted mean of Kα1 and Kα2).
Peak positions follow from Bragg's law for the DFT cell and can differ from measured ones.

Structural model:
```
Li7CoO3F3
1.0
5.288 0.000 0.000
2.643 5.047 0.000
2.047 1.669 5.113
Li Co O F
7 1 3 3
Direct
0.000 0.000 0.000
0.070 0.837 0.641
0.148 0.576 0.382
0.233 0.454 0.002
0.411 0.140 0.681
0.511 0.920 0.347
0.745 0.473 0.604
0.688 0.606 0.001
0.052 0.444 0.759
0.401 0.771 0.769
0.854 0.651 0.223
0.191 0.919 0.276
0.481 0.288 0.272
0.737 0.119 0.755
```

Largest 10 diffraction maxima, sorted by position, 10 to 90 degrees two-theta:
d = 5.113 Å, I 455
d = 4.798 Å, I 480
d = 4.591 Å, I 274
d = 4.334 Å, I 254
d = 4.211 Å, I 267
d = 3.814 Å, I 341
d = 2.547 Å, I 1000
d = 2.233 Å, I 273
d = 1.734 Å, I 216
d = 1.553 Å, I 230

***

Diffraction record for Cs2VH2O2F4. The XRD peak list is calculated, not measured: it uses DFT lattice parameters and positions (GGA+U) and Cu Kα (weighted mean of Kα1 and Kα2).
Peak positions follow from Bragg's law for the DFT cell and can differ from measured ones.

Structural model:
```
Cs2VH2O2F4
1.0
3.279 -7.981 0.000
3.279 7.981 0.000
-0.444 0.000 7.108
Cs V H O F
4 2 4 4 8
Direct
0.056 0.944 0.750
0.245 0.755 0.250
0.755 0.245 0.750
0.944 0.056 0.250
0.373 0.627 0.750
0.627 0.373 0.250
0.403 0.502 0.141
0.498 0.597 0.359
0.502 0.403 0.641
0.597 0.498 0.859
0.269 0.731 0.750
0.486 0.514 0.250
0.514 0.486 0.750
0.731 0.269 0.250
0.141 0.354 0.597
0.234 0.456 0.979
0.354 0.141 0.097
0.456 0.234 0.479
0.544 0.766 0.521
0.646 0.859 0.903
0.766 0.544 0.021
0.859 0.646 0.403
```

Largest 10 diffraction maxima, sorted by position, 10 to 90 degrees two-theta:
d = 3.633 Å, I 1000
d = 3.554 Å, I 613
d = 3.511 Å, I 905
d = 3.480 Å, I 311
d = 3.273 Å, I 494
d = 2.657 Å, I 393
d = 2.488 Å, I 490
d = 2.336 Å, I 326
d = 2.091 Å, I 263
d = 1.913 Å, I 205